No. 1
Starting from DFT lattice parameters and positions (PBE), the XRD peak list of NaPdAuSCl was simulated for Cu Kα (λ = 1.5418 Å).

Crystal structure
a b c (Å): 4.562 5.430 4.632
angles (deg): 90.00 109.78 90.00
Fractional coordinates of all 5 atoms:
Na 0.000 0.000 0.000
Pd 0.340 0.500 0.645
Au 0.720 0.500 0.273
S 0.161 0.500 0.088
Cl 0.370 0.000 0.641

Peak list (6 most intense, 2θ = 10–90°, low angle first)
- (0 1 0), 2θ 16.32, rel. 1000
- (0 1 1), 2θ 26.22, rel. 246
- (1 1 -1), 2θ 28.88, rel. 303
- (0 2 0), 2θ 32.99, rel. 379
- (1 0 1), 2θ 33.91, rel. 296
- (1 2 1), 2θ 48.04, rel. 219

***

No. 2
Starting from DFT lattice parameters and positions (PBE), the XRD peak list of NaPdAuSCl was simulated for Cu Kα (λ = 1.5418 Å).

Crystal structure
a b c (Å): 3.625 3.626 8.315
angles (deg): 78.29 77.77 90.00
Fractional coordinates of all 5 atoms:
Na 0.000 0.000 0.000
Pd 0.774 0.787 0.470
Au 0.390 0.395 0.228
S 0.251 0.266 0.515
Cl 0.540 0.538 0.919

Peak list (6 most intense, 2θ = 10–90°, low angle first)
- (0 0 1), 2θ 11.13, rel. 1000
- (1 0 0), 2θ 25.13, rel. 186
- (0 1 1), 2θ 25.26, rel. 197
- (1 -1 0), 2θ 35.00, rel. 547
- (0 1 -2), 2θ 37.32, rel. 138
- (2 0 1), 2θ 50.34, rel. 189

***

No. 3
Starting from DFT lattice parameters and positions (PBE), the XRD peak list of Na2PuAuCl8 was simulated for Cu Kα (λ = 1.5418 Å).

Crystal structure
a b c (Å): 6.221 8.868 6.385
angles (deg): 90.00 96.63 90.00
Fractional coordinates of all 12 atoms:
Na 0.000 0.237 0.000
Na 0.000 0.763 0.000
Pu 0.500 0.500 0.500
Au 0.500 0.000 0.500
Cl 0.234 0.500 0.163
Cl 0.243 0.000 0.201
Cl 0.281 0.292 0.655
Cl 0.281 0.708 0.655
Cl 0.719 0.292 0.345
Cl 0.719 0.708 0.345
Cl 0.757 0.000 0.799
Cl 0.766 0.500 0.837

Peak list (6 most intense, 2θ = 10–90°, low angle first)
- (0 0 1), 2θ 13.96, rel. 1000
- (1 0 0), 2θ 14.33, rel. 923
- (1 0 -1), 2θ 18.86, rel. 852
- (1 0 1), 2θ 21.20, rel. 581
- (1 2 0), 2θ 24.71, rel. 660
- (1 2 -1), 2θ 27.64, rel. 959